[1]
Calculated powder X-ray diffraction pattern of Nd3Ho2Er5 for Cu Kα, from a cell relaxed with GGA-PBE.
Neutral-atom scattering factors, no anomalous dispersion.

The 12 most intense peaks (2θ = 15–90°), sorted by position:
Position (°2θ)  intensity
30.29  100
30.67  50
30.73  49
32.24  22
33.68  49
37.81  17
38.83  16
47.32  15
49.23  19
58.14  16
65.68  18
67.29  20

Cell and atoms:
```
20
Lattice="5.322 -7.980 0.000 5.322 7.980 0.000 -5.305 0.000 7.730" Properties=species:S:1:pos:R:3 pbc="T T T"
Nd 1.301 1.977 0.352
Nd 1.344 4.233 5.798
Nd -1.352 -1.977 4.217
Nd 6.692 1.977 3.513
Nd 3.996 -4.233 1.933
Nd 4.039 -1.977 7.378
Ho 1.314 1.863 3.498
Ho -1.339 -1.863 7.363
Ho 6.679 1.863 0.367
Ho 4.026 -1.863 4.232
Er 1.344 7.552 5.798
Er -1.310 1.774 5.931
Er 3.996 3.638 1.933
Er 1.343 -1.774 2.066
Er 3.996 0.468 1.933
Er 1.344 -0.468 5.798
Er 3.997 1.774 5.664
Er 1.344 -3.638 5.798
Er 6.650 -1.774 1.799
Er 3.996 -7.552 1.933
```

***

[2]
Calculated powder X-ray diffraction pattern of CaNd2Sm4Y for Cu Kα, from a cell relaxed with GGA-PBE.
Neutral-atom scattering factors, no anomalous dispersion.

The 12 most intense peaks (2θ = 15–90°), sorted by position:
Position (°2θ)  intensity
26.50  100
29.39  71
29.61  68
29.78  73
39.99  62
40.15  60
40.28  64
59.75  21
60.12  18
63.19  17
63.31  17
63.41  17

Cell and atoms:
```
16
Lattice="6.975 -6.727 0.000 6.975 6.727 0.000 -3.398 0.000 6.034" Properties=species:S:1:pos:R:3 pbc="T T T"
Ca 0.000 0.000 0.000
Ca -1.699 0.000 3.017
Nd 3.488 3.363 0.000
Nd 1.789 -3.363 3.017
Nd 6.975 0.000 0.000
Nd 5.276 0.000 3.017
Sm 5.126 3.341 2.918
Sm 3.527 -0.002 0.254
Sm 1.828 0.002 3.271
Sm 7.126 3.341 0.099
Sm 3.427 -3.341 5.935
Sm 8.724 -0.002 2.763
Sm 7.025 0.002 5.780
Sm 5.427 -3.341 3.116
Y 1.789 3.363 3.017
Y 3.488 -3.363 0.000
```

***

[3]
Calculated powder X-ray diffraction pattern of SrCu4Pd8 for Cu Kα, from a cell relaxed with GGA-PBE.
Neutral-atom scattering factors, no anomalous dispersion.

The 12 most intense peaks (2θ = 15–90°), sorted by position:
Position (°2θ)  intensity
34.68  41
35.88  27
39.78  53
40.14  100
41.20  45
44.71  27
45.04  44
46.01  59
67.36  21
68.94  11
72.45  26
73.18  20

Cell and atoms:
```
13
Lattice="-4.532 4.532 2.503 4.532 -4.532 2.503 4.532 4.532 -2.503" Properties=species:S:1:pos:R:3 pbc="T T T"
Sr 0.000 0.000 0.000
Cu 2.266 2.266 -1.251
Cu 2.266 -2.266 1.251
Cu -2.266 2.266 1.251
Cu 2.266 2.266 1.251
Pd 3.190 0.000 0.000
Pd 5.873 0.000 0.000
Pd 4.532 2.522 0.000
Pd 0.000 3.190 0.000
Pd 2.522 4.532 0.000
Pd 2.009 0.000 2.503
Pd 0.000 5.873 0.000
Pd 0.000 2.009 2.503
```

***

[4]
Calculated powder X-ray diffraction pattern of Ac5TbRh4 for Cu Kα, from a cell relaxed with GGA-PBE.
Neutral-atom scattering factors, no anomalous dispersion.

The 12 most intense peaks (2θ = 15–90°), sorted by position:
Position (°2θ)  intensity
25.59  36
25.88  17
26.63  17
29.94  100
30.20  49
41.99  21
42.55  38
43.53  36
43.70  17
52.59  21
62.21  12
71.80  15

Cell and atoms:
```
10
Lattice="9.181 -2.151 0.000 9.181 2.151 0.000 -2.111 0.000 8.017" Properties=species:S:1:pos:R:3 pbc="T T T"
Ac 0.000 0.000 0.000
Ac 4.776 0.000 5.215
Ac 5.844 0.000 1.345
Ac 10.407 0.000 6.672
Ac 11.476 0.000 2.801
Tb -1.055 0.000 4.008
Rh 1.831 0.000 4.834
Rh 7.589 0.000 5.997
Rh 8.663 0.000 2.020
Rh 14.421 0.000 3.183
```

***

[5]
Calculated powder X-ray diffraction pattern of Nd5NpSe6 for Cu Kα, from a cell relaxed with GGA-PBE.
Neutral-atom scattering factors, no anomalous dispersion.

The 12 most intense peaks (2θ = 15–90°), sorted by position:
Position (°2θ)  intensity
25.94  16
30.01  100
42.90  38
43.01  37
53.15  7
53.33  20
62.37  12
70.67  12
70.68  6
70.83  17
78.53  6
78.76  15

Cell and atoms:
```
12
Lattice="3.643 -6.307 0.000 3.643 6.307 0.000 -2.427 0.000 6.893" Properties=species:S:1:pos:R:3 pbc="T T T"
Nd 0.000 0.000 0.000
Nd 2.430 4.194 3.447
Nd 3.643 2.170 0.000
Nd 3.643 -2.170 0.000
Nd 2.430 -4.194 3.447
Np 2.430 0.000 3.447
Se 1.239 2.057 1.754
Se 0.048 0.000 5.165
Se 1.239 -2.057 1.754
Se 3.621 2.057 5.139
Se 4.812 0.000 1.729
Se 3.621 -2.057 5.139
```

***

[6]
Calculated powder X-ray diffraction pattern of LaGaNi6Ge for Cu Kα, from a cell relaxed with GGA-PBE.
Neutral-atom scattering factors, no anomalous dispersion.

The 12 most intense peaks (2θ = 15–90°), sorted by position:
Position (°2θ)  intensity
29.99  74
35.52  100
35.79  90
36.72  94
41.60  53
41.97  75
43.68  53
44.82  74
47.12  47
48.47  70
62.32  34
71.90  29

Cell and atoms:
```
18
Lattice="-2.627 3.756 6.744 2.627 -3.756 6.744 2.627 3.756 -6.744" Properties=species:S:1:pos:R:3 pbc="T T T"
La 0.000 1.878 0.030
La 2.627 1.878 6.714
Ga 2.627 0.000 0.000
Ga 0.000 0.000 6.744
Ni 2.627 -1.878 3.422
Ni 1.314 -0.207 2.112
Ni 3.939 -0.207 2.112
Ni 1.314 3.549 -2.112
Ni 1.313 -0.207 4.632
Ni 2.627 1.878 1.446
Ni 0.000 1.878 5.297
Ni 1.314 3.964 2.112
Ni 1.313 0.207 8.855
Ni -1.313 3.964 4.632
Ni 1.313 3.964 4.632
Ni 0.000 5.634 3.322
Ge -1.313 1.878 3.372
Ge 1.313 1.878 3.372
```

***

[7]
Calculated powder X-ray diffraction pattern of DySc2UP4 for Cu Kα, from a cell relaxed with GGA-PBE.
Neutral-atom scattering factors, no anomalous dispersion.

The 12 most intense peaks (2θ = 15–90°), sorted by position:
Position (°2θ)  intensity
27.05  41
28.20  17
28.36  50
32.81  100
35.93  14
46.98  36
47.08  12
47.25  23
55.73  13
55.92  16
58.60  12
78.14  11

Cell and atoms:
```
8
Lattice="6.657 0.000 0.000 0.000 3.860 0.000 -2.223 0.000 6.330" Properties=species:S:1:pos:R:3 pbc="T T T"
Dy 0.000 0.000 0.000
Sc 2.217 0.000 3.165
Sc 3.329 1.930 0.000
U -1.112 1.930 3.165
P 1.163 1.930 1.642
P 0.071 0.000 4.753
P 4.362 0.000 1.577
P 3.271 1.930 4.688
```

***

[8]
Calculated powder X-ray diffraction pattern of RbFeN for Cu Kα, from a cell relaxed with GGA-PBE.
Neutral-atom scattering factors, no anomalous dispersion.

The 12 most intense peaks (2θ = 15–90°), sorted by position:
Position (°2θ)  intensity
25.97  47
26.25  32
28.02  55
30.05  100
32.49  70
33.62  59
45.93  38
51.61  18
53.97  21
54.16  15
57.72  19
60.88  24

Cell and atoms:
```
6
Lattice="3.542 0.000 0.000 0.002 5.967 0.000 1.768 2.502 5.952" Properties=species:S:1:pos:R:3 pbc="T T T"
Rb 0.887 2.729 1.844
Rb 4.424 5.739 4.108
Fe 2.653 2.706 5.214
Fe 2.658 5.763 0.738
N 0.887 5.679 1.056
N 4.424 2.789 4.896
```

***

[9]
Calculated powder X-ray diffraction pattern of Lu2HfPb for Cu Kα, from a cell relaxed with GGA-PBE.
Neutral-atom scattering factors, no anomalous dispersion.

The 11 most intense peaks (2θ = 15–90°), sorted by position:
Position (°2θ)  intensity
28.37  1
32.86  100
38.10  34
38.20  17
55.02  35
56.02  1
65.55  28
65.69  13
68.91  12
81.49  4
81.75  2

Cell and atoms:
```
4
Lattice="3.341 0.000 0.000 0.000 3.341 0.000 0.000 0.000 9.424" Properties=species:S:1:pos:R:3 pbc="T T T"
Lu 0.000 0.000 2.284
Lu 0.000 0.000 7.140
Hf 1.670 1.670 0.000
Pb 1.670 1.670 4.712
```

***

[10]
Calculated powder X-ray diffraction pattern of Tb3Se2NO for Cu Kα, from a cell relaxed with GGA-PBE.
Neutral-atom scattering factors, no anomalous dispersion.

The 12 most intense peaks (2θ = 15–90°), sorted by position:
Position (°2θ)  intensity
25.97  13
27.34  45
29.26  12
30.33  100
36.98  34
37.09  11
40.49  16
45.26  30
46.23  19
54.54  13
63.11  10
75.75  15

Cell and atoms:
```
14
Lattice="7.821 -1.964 0.000 7.821 1.964 0.000 -1.401 0.000 9.714" Properties=species:S:1:pos:R:3 pbc="T T T"
Tb 0.387 0.000 2.511
Tb 2.087 0.000 6.558
Tb 6.066 0.000 0.547
Tb 8.175 0.000 9.167
Tb 12.154 0.000 3.156
Tb 13.854 0.000 7.203
Se 3.145 0.000 1.450
Se 5.045 0.000 5.140
Se 9.195 0.000 4.574
Se 11.096 0.000 8.264
N 0.348 0.000 7.875
N 13.893 0.000 1.839
O 6.024 0.000 8.375
O 8.217 0.000 1.338
```

***

[11]
Calculated powder X-ray diffraction pattern of InIrSe3 for Cu Kα, from a cell relaxed with GGA-PBE.
Neutral-atom scattering factors, no anomalous dispersion.

The 12 most intense peaks (2θ = 15–90°), sorted by position:
Position (°2θ)  intensity
15.89  60
26.08  58
30.70  100
37.24  13
40.72  23
41.86  83
45.99  71
49.00  23
56.31  16
63.92  22
75.57  14
82.28  17

Cell and atoms:
```
10
Lattice="3.418 1.974 5.565 -3.418 1.974 5.565 0.000 -3.947 5.565" Properties=species:S:1:pos:R:3 pbc="T T T"
In 0.000 0.000 0.000
In 0.000 0.000 5.148
Ir 0.000 0.000 10.556
Ir 0.000 0.000 13.900
Se -1.499 -1.921 6.602
Se -2.124 0.088 9.199
Se -0.914 2.258 6.602
Se 0.986 -1.883 9.199
Se 2.413 -0.338 6.602
Se 1.138 1.795 9.199
```

***

[12]
Calculated powder X-ray diffraction pattern of Li4BiF8 for Cu Kα, from a cell relaxed with GGA-PBE.
Neutral-atom scattering factors, no anomalous dispersion.

The 12 most intense peaks (2θ = 15–90°), sorted by position:
Position (°2θ)  intensity
17.11  100
21.78  70
23.27  25
26.58  47
31.78  29
35.61  21
41.90  41
42.36  23
44.17  26
44.40  25
54.74  16
55.32  16

Cell and atoms:
```
13
Lattice="3.354 1.936 3.823 -3.354 1.936 3.823 0.000 -3.872 3.823" Properties=species:S:1:pos:R:3 pbc="T T T"
Li 0.000 0.000 0.000
Li -3.354 0.000 5.735
Li -1.677 0.968 1.912
Li 1.677 0.968 1.912
Bi 0.000 0.000 5.735
F -1.941 -1.120 6.417
F 0.000 -2.241 5.052
F -1.941 1.120 5.052
F 0.000 0.000 3.545
F 0.000 0.000 7.924
F 1.941 -1.120 6.417
F 0.000 2.241 6.417
F 1.941 1.120 5.052
```

***

[13]
Calculated powder X-ray diffraction pattern of Rb2MgSiI6 for Cu Kα, from a cell relaxed with GGA-PBE.
Neutral-atom scattering factors, no anomalous dispersion.

The 12 most intense peaks (2θ = 15–90°), sorted by position:
Position (°2θ)  intensity
15.07  7
26.25  100
30.40  65
34.09  3
43.53  48
51.55  46
54.02  17
63.26  8
69.71  18
71.79  21
79.92  16
85.88  15

Cell and atoms:
```
10
Lattice="0.000 5.880 5.880 5.880 0.000 5.880 5.880 5.880 0.000" Properties=species:S:1:pos:R:3 pbc="T T T"
Rb 2.940 2.940 2.940
Rb 8.820 8.820 8.820
Mg 0.000 0.000 0.000
Si 5.880 5.880 5.880
I 5.880 5.880 2.944
I 5.880 2.944 5.880
I 8.816 5.880 5.880
I 2.944 5.880 5.880
I 5.880 8.816 5.880
I 5.880 5.880 8.816
```